Structure and computed powder diffractogram of Y5Ho3Bi8 (a crystal structure in Alexandria, relaxed with PBE; copper Kα).
No peak broadening, texture or thermal motion is included.

Crystal structure
```
Y5Ho3Bi8
1.0
4.475 2.584 7.308
-4.475 2.584 7.308
0.000 -5.168 7.308
Y Ho Bi
5 3 8
Cartesian
0.000 0.000 0.000
-2.238 -1.292 7.308
-2.238 1.292 14.616
0.000 2.584 7.308
0.000 0.000 10.962
-4.475 0.000 10.962
-2.238 1.292 3.654
2.238 1.292 3.654
0.000 0.000 5.468
-2.243 -1.295 12.780
0.000 -2.590 9.144
-2.243 1.295 9.144
2.243 -1.295 12.780
0.000 2.590 12.780
2.243 1.295 9.144
0.000 0.000 16.456
```

Largest 12 diffraction maxima, in order of rising 2θ, 10 to 90 degrees two-theta:
2theta, intensity
12.11, 2
24.36, 14
28.20, 100
40.31, 78
47.66, 8
49.92, 28
58.32, 13
64.14, 3
66.02, 37
73.27, 28
78.54, 3
87.11, 9